[1]
Structure and computed powder X-ray diffraction pattern of Ac2MgAs (DFT lattice parameters and positions (PBE); λ = 1.5418 Å (Cu Kα)).
Intensities are scaled so that the largest is 1000.

Top 12 peaks for 10 to 90 degrees two-theta, most intense first:
hkl	2θ/deg	intensity
1 1 1	31.59	1000
2 0 0	32.79	454
1 1 0	23.03	413
3 1 1	57.79	369
0 0 1	21.33	247
2 0 1	39.45	214
2 0 2	55.48	208
2 2 0	47.06	168
2 2 2	65.97	124
1 1 2	49.73	113
0 0 2	43.44	106
2 2 1	52.21	98

Atomic structure:
a b c (Å): 5.462 5.462 4.166
angles (deg): 90.00 90.00 90.00
Space group P4/mmm (No. 123)
Asymmetric unit:
Ac: 0.000 0.500 0.000 (multiplicity 2)
Mg: 0.000 0.000 0.500 (multiplicity 1)
As: 0.500 0.500 0.500 (multiplicity 1)



[2]
Structure and computed powder X-ray diffraction pattern of Mg4WAu (DFT lattice parameters and positions (PBE); λ = 1.5418 Å (Cu Kα)).
Intensities are scaled so that the largest is 1000.

Top 12 peaks for 10 to 90 degrees two-theta, most intense first:
hkl	2θ/deg	intensity
2 2 0	33.04	1000
3 1 1	38.96	914
1 1 1	20.06	722
4 2 2	59.02	388
5 1 1	62.99	299
4 4 0	69.33	190
3 3 1	51.99	188
6 2 0	78.97	171
5 3 1	73.00	142
5 3 3	82.49	106
4 0 0	47.43	100
2 2 2	40.77	28

Atomic structure:
a b c (Å): 7.667 7.667 7.667
angles (deg): 90.00 90.00 90.00
Space group F-43m (No. 216)
Asymmetric unit:
Mg: 0.124 0.124 0.124 (multiplicity 16)
W: 0.250 0.250 0.750 (multiplicity 4)
Au: 0.000 0.000 0.500 (multiplicity 4)



[3]
Structure and computed powder X-ray diffraction pattern of Li2HF (DFT lattice parameters and positions (PBE); λ = 1.5418 Å (Cu Kα)).
Intensities are scaled so that the largest is 1000.

Top 12 peaks for 10 to 90 degrees two-theta, most intense first:
hkl	2θ/deg	intensity
1 0 0	15.67	1000
0 2 1	41.27	866
1 1 1	30.29	567
2 1 2	52.90	514
1 1 0	24.09	178
1 2 1	44.46	176
1 0 2	40.10	165
2 3 0	66.28	160
0 2 3	69.16	114
3 1 1	55.53	105
4 0 0	66.09	81
3 0 2	62.12	81

Atomic structure:
a b c (Å): 5.655 4.881 4.901
angles (deg): 90.00 90.00 90.00
Space group Pbcm (No. 57)
Asymmetric unit:
Li: 0.125 0.250 0.000 (multiplicity 4)
Li: 0.374 0.750 0.000 (multiplicity 4)
H: 0.379 0.084 0.250 (multiplicity 4)
F: 0.124 0.584 0.250 (multiplicity 4)